(1)
YZnB: theoretical X-ray diffraction stick pattern (Cu Kα), based on a PBE-relaxed structure.
Lines closer than 0.1° are merged.

abc: 4.104 3.625 6.790
angles: 90.00 93.47 90.00
Fractional positions:
Y  0.219  0.000  0.204
Y  0.781  0.000  0.796
Zn  0.262  0.500  0.601
Zn  0.738  0.500  0.399
B  0.349  0.500  0.916
B  0.651  0.500  0.084

Top 6 peaks for 2θ from 10° to 90°, by intensity:
d_spacing, two_theta, Rel. int.
2.556, 35.1, 1000
2.486, 36.1, 797
3.197, 27.9, 574
2.476, 36.3, 505
2.537, 35.4, 446
2.048, 44.2, 345

(2)
YbB4: theoretical X-ray diffraction stick pattern (Cu Kα), based on a PBE-relaxed structure.
Lines closer than 0.1° are merged.

abc: 7.111 7.111 4.034
angles: 90.00 90.00 90.00
Fractional positions:
Yb  0.186  0.314  0.000
Yb  0.314  0.814  0.000
Yb  0.686  0.186  0.000
Yb  0.814  0.686  0.000
B  0.000  0.000  0.203
B  0.000  0.000  0.797
B  0.037  0.824  0.500
B  0.087  0.587  0.500
B  0.176  0.037  0.500
B  0.324  0.537  0.500
B  0.413  0.087  0.500
B  0.463  0.324  0.500
B  0.500  0.500  0.203
B  0.500  0.500  0.797
B  0.537  0.676  0.500
B  0.587  0.913  0.500
B  0.676  0.463  0.500
B  0.824  0.963  0.500
B  0.913  0.413  0.500
B  0.963  0.176  0.500

Top 6 peaks for 2θ from 10° to 90°, by intensity:
d_spacing, two_theta, Rel. int.
2.497, 36.0, 1000
3.180, 28.1, 780
2.667, 33.6, 645
4.034, 22.0, 642
3.556, 25.0, 475
1.586, 58.2, 396

(3)
Zn3B: theoretical X-ray diffraction stick pattern (Cu Kα), based on a PBE-relaxed structure.
Lines closer than 0.1° are merged.

abc: 3.695 3.695 3.695
angles: 90.00 90.00 90.00
Fractional positions:
Zn  0.000  0.000  0.500
Zn  0.000  0.500  0.000
Zn  0.500  0.000  0.000
B  0.500  0.500  0.500

Top 6 peaks for 2θ from 10° to 90°, by intensity:
d_spacing, two_theta, Rel. int.
2.133, 42.4, 1000
1.847, 49.3, 471
1.114, 87.6, 331
1.306, 72.3, 278
3.695, 24.1, 266
2.612, 34.3, 222

(4)
ZrB6: theoretical X-ray diffraction stick pattern (Cu Kα), based on a PBE-relaxed structure.
Lines closer than 0.1° are merged.

abc: 4.057 4.057 4.057
angles: 90.00 90.00 90.00
Fractional positions:
Zr  0.000  0.000  0.000
B  0.198  0.500  0.500
B  0.500  0.198  0.500
B  0.500  0.500  0.198
B  0.500  0.500  0.802
B  0.500  0.802  0.500
B  0.802  0.500  0.500

Top 6 peaks for 2θ from 10° to 90°, by intensity:
d_spacing, two_theta, Rel. int.
2.869, 31.2, 1000
4.057, 21.9, 466
1.814, 50.3, 462
2.342, 38.4, 444
1.352, 69.5, 279
2.029, 44.7, 225

(5)
Ba5Be: theoretical X-ray diffraction stick pattern (Cu Kα), based on a PBE-relaxed structure.
Lines closer than 0.1° are merged.

abc: 7.777 7.777 10.741
angles: 113.00 113.00 31.31
Fractional positions:
Ba  0.000  0.000  0.000
Ba  0.339  0.339  0.234
Ba  0.378  0.378  0.621
Ba  0.622  0.622  0.379
Ba  0.661  0.661  0.766
Be  0.000  0.000  0.500

Top 6 peaks for 2θ from 10° to 90°, by intensity:
d_spacing, two_theta, Rel. int.
3.569, 25.0, 1000
3.089, 28.9, 936
3.306, 27.0, 822
3.737, 23.8, 623
3.880, 22.9, 598
2.277, 39.6, 585

(6)
Ba2Be: theoretical X-ray diffraction stick pattern (Cu Kα), based on a PBE-relaxed structure.
Lines closer than 0.1° are merged.

abc: 5.670 5.670 3.889
angles: 90.00 90.00 90.00
Fractional positions:
Ba  0.000  0.500  0.000
Ba  0.500  0.000  0.000
Be  0.000  0.000  0.500

Top 6 peaks for 2θ from 10° to 90°, by intensity:
d_spacing, two_theta, Rel. int.
4.009, 22.2, 1000
2.791, 32.1, 873
3.889, 22.9, 464
2.835, 31.6, 456
2.291, 39.3, 452
1.628, 56.5, 340